For CaNd3Y8, the GGA-PBE geometry in Alexandria gives the theoretical PXRD pattern in this record (Cu Kα X-rays).
Peak positions follow from Bragg's law for the DFT cell and can differ from measured ones.

Atomic structure:
a b c (Å): 8.770 8.770 11.946
angles (deg): 90.00 90.00 90.00
Space group I-42m (No. 121)
Inequivalent atoms, fractional coordinates:
1 Ca 0.000 0.000 0.000 [2 per cell]
2 Nd 0.000 0.000 0.500 [2 per cell]
3 Nd 0.000 0.500 0.250 [4 per cell]
4 Y 0.136 0.136 0.274 [8 per cell]
5 Y 0.232 0.232 0.543 [8 per cell]

Most intense lines, 10 to 90 degrees two-theta, low angle first:
| 2θ (°) | d_spacing | I (rel.) | hkl |
| --- | --- | --- | --- |
| 12.52 | 7.069 | 40 | 1 0 1 |
| 20.65 | 4.302 | 52 | 1 1 2 |
| 23.88 | 3.726 | 39 | 2 1 1 |
| 28.79 | 3.101 | 64 | 2 2 0 |
| 29.92 | 2.987 | 37 | 0 0 4 |
| 35.69 | 2.515 | 100 | 3 1 2 |